No. 1
Structure and theoretical powder XRD pattern of Co2TeCS (DFT lattice parameters and positions (GGA-PBE); Cu Ka).
Lines closer than 0.1° are merged.

Largest 10 diffraction maxima, low angle first, 2θ from 10° to 90°:
2θ 10.3, intensity 74.5; 2θ 20.6, intensity 24.4; 2θ 32.9, intensity 42.2; 2θ 34.5, intensity 23.8; 2θ 39.1, intensity 100.0; 2θ 45.9, intensity 41.0; 2θ 54.2, intensity 13.1; 2θ 58.7, intensity 27.1; 2θ 72.8, intensity 14.8; 2θ 74.6, intensity 14.5

```
data_Co2TeCS
_chemical_formula_sum 'Co2 Te1 C1 S1'
_cell_length_a 3.148
_cell_length_b 3.148
_cell_length_c 8.628
_cell_angle_alpha 90.00
_cell_angle_beta 90.00
_cell_angle_gamma 120.00
_space_group_name_H-M_alt 'P 1'
_space_group_IT_number 1
loop_
_space_group_symop_operation_xyz
'x,y,z'
loop_
_atom_site_label
_atom_site_type_symbol
_atom_site_fract_x
_atom_site_fract_y
_atom_site_fract_z
Co1 Co 0.000 0.000 0.000
Co2 Co 0.333 0.667 0.200
Te1 Te 0.000 0.000 0.432
C1 C 0.667 0.333 0.110
S1 S 0.333 0.667 0.840
```

***

No. 2
Structure and theoretical powder XRD pattern of Sc4CoC3 (DFT lattice parameters and positions (GGA-PBE); Cu Ka).
Lines closer than 0.1° are merged.

Largest 10 diffraction maxima, low angle first, 2θ from 10° to 90°:
2θ 31.9, intensity 33.0; 2θ 35.0, intensity 22.5; 2θ 36.8, intensity 89.2; 2θ 37.0, intensity 23.4; 2θ 38.9, intensity 100.0; 2θ 52.6, intensity 24.3; 2θ 56.4, intensity 43.4; 2θ 69.2, intensity 11.5; 2θ 69.4, intensity 19.6; 2θ 70.6, intensity 14.1

```
data_Sc4CoC3
_chemical_formula_sum 'Sc8 Co2 C6'
_cell_length_a 3.265
_cell_length_b 3.265
_cell_length_c 24.278
_cell_angle_alpha 90.00
_cell_angle_beta 90.00
_cell_angle_gamma 120.00
_space_group_name_H-M_alt 'P 1'
_space_group_IT_number 1
loop_
_space_group_symop_operation_xyz
'x,y,z'
loop_
_atom_site_label
_atom_site_type_symbol
_atom_site_fract_x
_atom_site_fract_y
_atom_site_fract_z
Sc1 Sc 0.000 0.000 0.165
Sc2 Sc 0.000 0.000 0.335
Sc3 Sc 0.000 0.000 0.665
Sc4 Sc 0.000 0.000 0.835
Sc5 Sc 0.333 0.667 0.057
Sc6 Sc 0.333 0.667 0.443
Sc7 Sc 0.667 0.333 0.557
Sc8 Sc 0.667 0.333 0.943
Co1 Co 0.333 0.667 0.250
Co2 Co 0.667 0.333 0.750
C1 C 0.000 0.000 0.000
C2 C 0.000 0.000 0.500
C3 C 0.333 0.667 0.616
C4 C 0.333 0.667 0.884
C5 C 0.667 0.333 0.116
C6 C 0.667 0.333 0.384
```

***

No. 3
Structure and theoretical powder XRD pattern of Sc3CoC4 (DFT lattice parameters and positions (GGA-PBE); Cu Ka).
Lines closer than 0.1° are merged.

Largest 10 diffraction maxima, low angle first, 2θ from 10° to 90°:
2θ 14.8, intensity 16.2; 2θ 36.7, intensity 100.0; 2θ 41.7, intensity 18.3; 2θ 43.2, intensity 13.9; 2θ 45.4, intensity 28.6; 2θ 45.6, intensity 12.5; 2θ 53.5, intensity 14.3; 2θ 55.2, intensity 12.2; 2θ 72.4, intensity 12.7; 2θ 72.8, intensity 16.7

```
data_Sc3CoC4
_chemical_formula_sum 'Sc6 Co2 C8'
_cell_length_a 3.425
_cell_length_b 4.333
_cell_length_c 11.944
_cell_angle_alpha 90.00
_cell_angle_beta 90.00
_cell_angle_gamma 90.00
_space_group_name_H-M_alt 'P 1'
_space_group_IT_number 1
loop_
_space_group_symop_operation_xyz
'x,y,z'
loop_
_atom_site_label
_atom_site_type_symbol
_atom_site_fract_x
_atom_site_fract_y
_atom_site_fract_z
Sc1 Sc 0.000 0.000 0.000
Sc2 Sc 0.000 0.500 0.188
Sc3 Sc 0.000 0.500 0.812
Sc4 Sc 0.500 0.000 0.312
Sc5 Sc 0.500 0.000 0.688
Sc6 Sc 0.500 0.500 0.500
Co1 Co 0.000 0.000 0.500
Co2 Co 0.500 0.500 0.000
C1 C 0.000 0.333 0.377
C2 C 0.000 0.333 0.623
C3 C 0.000 0.667 0.377
C4 C 0.000 0.667 0.623
C5 C 0.500 0.167 0.123
C6 C 0.500 0.167 0.877
C7 C 0.500 0.833 0.123
C8 C 0.500 0.833 0.877
```